No. 1
This entry pairs a crystal structure of HOsN with its calculated X-ray powder pattern. Radiation: Cu Kα. Structure: a crystal structure in Alexandria, relaxed with GGA-PBE.
Lines closer than 0.1° are merged.

Structure:
abc: 2.6487 5.0218 3.8971
angles: 90.00 90.00 90.00
Space group Cmmm (No. 65)
Symmetry-distinct sites (fractional):
1 H 0.0000 0.0000 0.0000 [2 per cell]
2 Os 0.0000 0.5000 0.5000 [2 per cell]
3 N 0.0000 0.5000 0.0000 [2 per cell]

Largest 10 diffraction maxima, most intense first, 15 to 90 degrees two-theta:
hkl 0 0 1, 22.8°, intensity 100; hkl 1 1 0, 38.4°, intensity 73; hkl 1 1 1, 45.2°, intensity 72; hkl 0 2 0, 35.8°, intensity 45; hkl 0 2 1, 42.8°, intensity 41; hkl 1 1 2, 61.9°, intensity 36; hkl 0 0 2, 46.6°, intensity 21; hkl 0 2 2, 60.1°, intensity 20; hkl 1 3 1, 70.8°, intensity 20; hkl 1 3 2, 84.6°, intensity 15

---

No. 2
This entry pairs a crystal structure of H2OsN with its calculated X-ray powder pattern. Radiation: Cu Kα. Structure: a crystal structure in Alexandria, relaxed with GGA-PBE.
Lines closer than 0.1° are merged.

Structure:
abc: 2.8228 2.8228 5.2034
angles: 90.00 90.00 120.00
Space group P3m1 (No. 156)
Symmetry-distinct sites (fractional):
1 H 0.0000 0.0000 0.0000 [1 per cell]
2 H 0.3333 0.6667 0.7408 [1 per cell]
3 Os 0.0000 0.0000 0.3164 [1 per cell]
4 N 0.3333 0.6667 0.5424 [1 per cell]

Largest 10 diffraction maxima, most intense first, 15 to 90 degrees two-theta:
hkl 0 0 1, 17.0°, intensity 100; hkl 0 1 1, 40.8°, intensity 68; hkl 1 0 0, 36.8°, intensity 42; hkl 0 1 2, 51.3°, intensity 37; hkl 1 0 3, 66.0°, intensity 17; hkl 0 0 2, 34.5°, intensity 15; hkl 1 1 1, 68.9°, intensity 15; hkl 1 1 2, 76.8°, intensity 10; hkl 2 0 1, 80.8°, intensity 10; hkl 1 1 0, 66.2°, intensity 9